Structure and simulated XRD peak list of Ho4PuSb5 (DFT lattice parameters and positions (GGA-PBE); Cu Ka).
Neutral-atom scattering factors, no anomalous dispersion.

Top 10 peaks for 10 to 90 degrees two-theta, low angle first:
2θ 24.90, intensity 6
2θ 28.82, intensity 100
2θ 41.22, intensity 76
2θ 51.08, intensity 27
2θ 59.66, intensity 9
2θ 59.80, intensity 4
2θ 67.60, intensity 24
2θ 67.71, intensity 12
2θ 75.13, intensity 26
2θ 89.53, intensity 6

Cell and atoms:
```
10
Lattice="-2.1916 2.1916 15.4658 2.1916 -2.1916 15.4658 2.1916 2.1916 -15.4658" Properties=species:S:1:pos:R:3 pbc="T T T"
Ho 0.0000 0.0000 3.1129
Ho 0.0000 0.0000 9.2652
Ho 0.0000 0.0000 21.6664
Ho 0.0000 0.0000 27.8188
Pu 0.0000 0.0000 15.4658
Sb 0.0000 0.0000 0.0000
Sb 0.0000 0.0000 6.1867
Sb 0.0000 0.0000 12.3512
Sb 0.0000 0.0000 18.5805
Sb 0.0000 0.0000 24.7450
```


Structure and simulated XRD peak list of AgH3Rh (DFT lattice parameters and positions (GGA-PBE); Cu Ka).
Neutral-atom scattering factors, no anomalous dispersion.

Top 10 peaks for 10 to 90 degrees two-theta, low angle first:
2θ 29.24, intensity 21
2θ 33.80, intensity 77
2θ 34.74, intensity 54
2θ 35.67, intensity 99
2θ 36.79, intensity 21
2θ 40.61, intensity 100
2θ 46.02, intensity 21
2θ 56.88, intensity 13
2θ 58.17, intensity 24
2θ 68.41, intensity 13

Cell and atoms:
```
10
Lattice="3.2387 -3.0544 0.0000 3.2387 3.0544 0.0000 -3.1155 0.0000 4.4419" Properties=species:S:1:pos:R:3 pbc="T T T"
Ag 1.6810 2.5772 2.2210
Ag 3.2387 -2.5772 0.0000
H -0.6030 1.7059 3.5248
H 1.4733 0.7333 1.4267
H 1.2071 0.7650 3.7566
H -0.0844 -0.7333 3.6476
H 0.9547 -1.7059 1.3038
H 2.7648 -0.7650 1.5356
Rh 2.9633 0.6103 0.3480
Rh 1.4056 -0.6103 2.5690
```


Structure and simulated XRD peak list of BiPbCl5 (DFT lattice parameters and positions (GGA-PBE); Cu Ka).
Neutral-atom scattering factors, no anomalous dispersion.

Top 10 peaks for 10 to 90 degrees two-theta, low angle first:
2θ 14.69, intensity 18
2θ 16.77, intensity 28
2θ 18.04, intensity 31
2θ 18.65, intensity 100
2θ 23.47, intensity 22
2θ 30.73, intensity 19
2θ 35.57, intensity 15
2θ 36.52, intensity 14
2θ 36.66, intensity 20
2θ 42.97, intensity 19

Cell and atoms:
```
28
Lattice="6.8726 0.0000 0.0000 0.0000 13.4113 0.0000 -1.9900 0.0000 10.5732" Properties=species:S:1:pos:R:3 pbc="T T T"
Bi -0.0746 0.1219 2.1690
Bi -1.0696 6.5838 7.4555
Bi 5.9522 6.8275 3.1176
Bi 4.9572 13.2894 8.4042
Pb 1.5858 3.1278 6.7592
Pb 2.5808 3.5778 1.4726
Pb 2.3018 9.8335 9.1006
Pb 3.2968 10.2834 3.8140
Cl -0.8527 1.4638 6.5716
Cl 0.1423 5.2419 1.2851
Cl -0.9262 1.4085 10.4403
Cl 0.0688 5.2972 5.1538
Cl 1.0860 8.5426 3.2172
Cl 0.0910 11.5743 8.5038
Cl 1.4006 2.1015 3.5330
Cl 0.4057 4.6041 8.8196
Cl 1.2935 8.0577 7.3083
Cl 2.2885 12.0592 2.0217
Cl 2.5941 1.3521 8.5515
Cl 3.5891 5.3536 3.2649
Cl 4.4769 8.8072 1.7535
Cl 3.4819 11.3097 7.0401
Cl 4.7916 1.8370 2.0694
Cl 3.7966 4.8687 7.3560
Cl 4.8138 8.1141 5.4194
Cl 5.8088 12.0028 0.1328
Cl 4.7403 8.1694 9.2881
Cl 5.7353 11.9475 4.0015
```


Structure and simulated XRD peak list of Dy3Er7Tm2 (DFT lattice parameters and positions (GGA-PBE); Cu Ka).
Neutral-atom scattering factors, no anomalous dispersion.

Top 10 peaks for 10 to 90 degrees two-theta, low angle first:
2θ 31.26, intensity 100
2θ 36.25, intensity 51
2θ 52.10, intensity 6
2θ 52.21, intensity 24
2θ 62.08, intensity 28
2θ 62.20, intensity 14
2θ 65.12, intensity 6
2θ 65.31, intensity 6
2θ 85.32, intensity 6
2θ 88.16, intensity 11

Cell and atoms:
```
12
Lattice="0.0000 4.9562 10.4914 3.5109 0.0000 10.4914 3.5109 4.9562 0.0000" Properties=species:S:1:pos:R:3 pbc="T T T"
Dy 0.0000 0.0000 0.0000
Dy 3.5109 4.9562 6.9899
Dy 3.5109 4.9562 13.9929
Er 1.7555 2.4781 1.7534
Er 1.7555 2.4781 5.2457
Er 1.7555 2.4781 8.7380
Er 3.5109 4.9562 10.4914
Er 5.2664 7.4343 12.2448
Er 5.2664 7.4343 15.7371
Er 5.2664 7.4343 19.2294
Tm 3.5109 4.9562 3.5007
Tm 3.5109 4.9562 17.4821
```


Structure and simulated XRD peak list of Dy8TcSn2 (DFT lattice parameters and positions (GGA-PBE); Cu Ka).
Neutral-atom scattering factors, no anomalous dispersion.

Top 10 peaks for 10 to 90 degrees two-theta, low angle first:
2θ 28.07, intensity 17
2θ 32.54, intensity 41
2θ 32.70, intensity 44
2θ 34.99, intensity 100
2θ 43.50, intensity 11
2θ 53.41, intensity 16
2θ 59.65, intensity 22
2θ 63.33, intensity 12
2θ 63.43, intensity 13
2θ 63.95, intensity 18

Cell and atoms:
```
11
Lattice="-2.7516 3.4730 7.8920 2.7516 -3.4730 7.8920 2.7516 3.4730 -7.8920" Properties=species:S:1:pos:R:3 pbc="T T T"
Dy 2.7516 1.8246 -1.9902
Dy 0.0000 0.0000 3.0166
Dy 0.0000 1.6973 0.0000
Dy 2.7516 1.8246 1.9902
Dy 0.0000 1.6484 5.9018
Dy 0.0000 5.2487 0.0000
Dy 0.0000 0.0000 12.7673
Dy 0.0000 1.6484 9.8822
Tc 2.7516 0.0000 0.0000
Sn 2.7516 0.0000 4.9446
Sn 0.0000 3.4730 2.9474
```


Structure and simulated XRD peak list of AcAgF4 (DFT lattice parameters and positions (GGA-PBE); Cu Ka).
Neutral-atom scattering factors, no anomalous dispersion.

Top 10 peaks for 10 to 90 degrees two-theta, low angle first:
2θ 15.01, intensity 20
2θ 25.53, intensity 100
2θ 26.24, intensity 92
2θ 29.82, intensity 38
2θ 30.30, intensity 19
2θ 42.13, intensity 19
2θ 42.67, intensity 38
2θ 43.01, intensity 37
2θ 43.93, intensity 18
2θ 50.01, intensity 16

Cell and atoms:
```
6
Lattice="2.9970 -2.9986 0.0000 2.9970 2.9986 0.0000 -0.2361 0.0000 5.9004" Properties=species:S:1:pos:R:3 pbc="T T T"
Ac 0.0000 0.0000 0.0000
Ag 2.8790 0.0000 2.9502
F 1.5219 1.4836 1.3724
F 4.2361 1.4836 4.5280
F 1.5219 -1.4836 1.3724
F 4.2361 -1.4836 4.5280
```


Structure and simulated XRD peak list of PmNd4Ho6 (DFT lattice parameters and positions (GGA-PBE); Cu Ka).
Neutral-atom scattering factors, no anomalous dispersion.

Top 10 peaks for 10 to 90 degrees two-theta, low angle first:
2θ 28.25, intensity 45
2θ 28.71, intensity 64
2θ 29.49, intensity 30
2θ 30.36, intensity 100
2θ 31.59, intensity 24
2θ 34.14, intensity 78
2θ 37.01, intensity 31
2θ 38.08, intensity 31
2θ 40.18, intensity 34
2θ 57.08, intensity 29

Cell and atoms:
```
11
Lattice="-3.3418 3.3418 8.4959 3.3418 -3.3418 8.4959 3.3418 3.3418 -8.4959" Properties=species:S:1:pos:R:3 pbc="T T T"
Pm 0.0000 0.0000 0.0000
Nd 2.0706 -2.0706 5.5102
Nd 1.2711 1.2711 2.9857
Nd -2.0706 2.0706 5.5102
Nd 2.0706 2.0706 11.4816
Ho 3.3418 0.0000 0.0000
Ho 2.1539 2.1539 -2.1110
Ho 1.1879 -1.1879 10.6070
Ho 0.0000 3.3418 0.0000
Ho 1.1879 1.1879 6.3849
Ho -1.1879 1.1879 10.6070
```


Structure and simulated XRD peak list of K5UO5 (DFT lattice parameters and positions (GGA-PBE); Cu Ka).
Neutral-atom scattering factors, no anomalous dispersion.

Top 10 peaks for 10 to 90 degrees two-theta, low angle first:
2θ 12.42, intensity 100
2θ 15.35, intensity 34
2θ 16.38, intensity 39
2θ 18.48, intensity 75
2θ 20.89, intensity 31
2θ 28.70, intensity 66
2θ 29.16, intensity 62
2θ 33.10, intensity 38
2θ 33.52, intensity 40
2θ 33.96, intensity 41

Cell and atoms:
```
11
Lattice="6.0938 -2.6397 0.0000 6.0938 2.6397 0.0000 -2.4070 0.0000 7.1249" Properties=species:S:1:pos:R:3 pbc="T T T"
K 6.0938 2.6372 0.0000
K 3.3983 0.0052 1.3424
K 2.4242 0.0000 4.6444
K 7.3563 0.0000 2.4805
K 6.3823 0.0052 5.7825
U 4.8903 2.5380 3.5625
O 0.6405 0.0035 2.6045
O -0.2385 0.0075 5.4244
O 4.8903 0.3730 3.5625
O 10.0190 0.0075 1.7005
O 9.1401 0.0035 4.5204
```